Calculated powder diffraction line list of PmTm12In6 for Cu Ka, from a DFT-relaxed cell (GGA-PBE, Alexandria).

Principal peaks in the range 2θ from 10° to 90°, low angle first:
Position (°2θ), d/Å, I_rel, (hkl)
27.51, 3.242, 45, 1 1 3
28.21, 3.163, 100, 1 3 1
33.22, 2.697, 57, 3 0 3
33.81, 2.651, 27, 3 2 1
34.23, 2.619, 47, 0 4 2
41.30, 2.186, 44, 5 0 2

Lattice parameters (Å, degrees): 13.7473 13.7473 11.0314 90.00 90.00 120.00
Space group R-3m (No. 166, hexagonal axes)
Asymmetric unit:
Pm (0.0000, 0.0000, 0.0000) x3
Tm (0.0000, 0.3759, 0.5000) x18
Tm (0.0884, 0.1768, 0.3563) x18
In (0.0283, 0.5142, 0.2720) x18